Diffraction record for Li3Fe3P4O16. The powder XRD pattern is computed, not measured: it uses a crystal structure in the Materials Project, relaxed with GGA+U and a wavelength of 1.5418 Å.

Main lines, by intensity (15° ≤ 2θ ≤ 90°):
2θ = 23.2°, 3.835 Å, I = 100; 2θ = 25.8°, 3.458 Å, I = 78; 2θ = 31.7°, 2.825 Å, I = 45; 2θ = 26.9°, 3.317 Å, I = 44; 2θ = 31.1°, 2.878 Å, I = 41; 2θ = 21.7°, 4.100 Å, I = 38; 2θ = 25.2°, 3.535 Å, I = 31; 2θ = 35.8°, 2.509 Å, I = 31; 2θ = 27.9°, 3.192 Å, I = 30; 2θ = 37.5°, 2.400 Å, I = 27

```
data_Li3Fe3P4O16
_symmetry_space_group_name_H-M 'P 1'
_symmetry_Int_Tables_number 1
_cell_length_a 8.328
_cell_length_b 5.019
_cell_length_c 15.443
_cell_angle_alpha 90.00
_cell_angle_beta 112.03
_cell_angle_gamma 90.00
loop_
_symmetry_equiv_pos_as_xyz
'x,y,z'
loop_
_atom_site_label
_atom_site_fract_x
_atom_site_fract_y
_atom_site_fract_z
Li1 0.000 0.000 0.000
Li2 0.000 0.500 0.500
Li3 0.295 0.015 0.622
Li4 0.295 0.485 0.122
Li5 0.705 0.515 0.878
Li6 0.705 0.985 0.378
Fe1 0.186 0.565 0.707
Fe2 0.186 0.935 0.207
Fe3 0.500 0.000 0.500
Fe4 0.500 0.500 0.000
Fe5 0.814 0.065 0.793
Fe6 0.814 0.435 0.293
P1 0.077 0.517 0.893
P2 0.077 0.983 0.393
P3 0.474 0.512 0.351
P4 0.474 0.988 0.851
P5 0.526 0.012 0.149
P6 0.526 0.488 0.649
P7 0.923 0.017 0.607
P8 0.923 0.483 0.107
O1 0.004 0.207 0.110
O2 0.004 0.293 0.610
O3 0.059 0.696 0.102
O4 0.059 0.804 0.602
O5 0.111 0.036 0.302
O6 0.111 0.464 0.802
O7 0.242 0.027 0.480
O8 0.242 0.473 0.980
O9 0.326 0.593 0.257
O10 0.326 0.907 0.757
O11 0.348 0.091 0.157
O12 0.348 0.409 0.657
O13 0.452 0.681 0.428
O14 0.452 0.819 0.928
O15 0.478 0.212 0.373
O16 0.478 0.288 0.873
O17 0.522 0.712 0.127
O18 0.522 0.788 0.627
O19 0.548 0.181 0.072
O20 0.548 0.319 0.572
O21 0.652 0.591 0.343
O22 0.652 0.909 0.843
O23 0.674 0.093 0.243
O24 0.674 0.407 0.743
O25 0.758 0.527 0.020
O26 0.758 0.973 0.520
O27 0.889 0.536 0.198
O28 0.889 0.964 0.698
O29 0.941 0.196 0.398
O30 0.941 0.304 0.898
O31 0.996 0.707 0.390
O32 0.996 0.793 0.890
```



Diffraction record for Na2V2ZnO7. The powder XRD pattern is computed, not measured: it uses a crystal structure in the Materials Project, relaxed with GGA+U and a wavelength of 1.5418 Å.

Main lines, by intensity (15° ≤ 2θ ≤ 90°):
2θ = 29.3°, 3.045 Å, I = 100; 2θ = 17.1°, 5.192 Å, I = 76; 2θ = 23.7°, 3.759 Å, I = 47; 2θ = 33.7°, 2.658 Å, I = 44; 2θ = 49.1°, 1.857 Å, I = 44; 2θ = 22.7°, 3.910 Å, I = 36; 2θ = 38.0°, 2.366 Å, I = 32; 2θ = 27.3°, 3.267 Å, I = 29; 2θ = 62.1°, 1.495 Å, I = 26; 2θ = 48.4°, 1.879 Å, I = 18

```
data_Na2V2ZnO7
_symmetry_space_group_name_H-M 'P 1'
_symmetry_Int_Tables_number 1
_cell_length_a 8.405
_cell_length_b 8.405
_cell_length_c 5.192
_cell_angle_alpha 90.00
_cell_angle_beta 90.00
_cell_angle_gamma 90.00
loop_
_symmetry_equiv_pos_as_xyz
'x,y,z'
loop_
_atom_site_label
_atom_site_fract_x
_atom_site_fract_y
_atom_site_fract_z
Na1 0.165 0.335 0.492
Na2 0.335 0.835 0.508
Na3 0.665 0.165 0.508
Na4 0.835 0.665 0.492
V1 0.145 0.645 0.923
V2 0.355 0.145 0.077
V3 0.645 0.855 0.077
V4 0.855 0.355 0.923
Zn1 0.000 0.000 0.000
Zn2 0.500 0.500 0.000
O1 0.000 0.500 0.798
O2 0.095 0.829 0.794
O3 0.148 0.648 0.246
O4 0.171 0.095 0.206
O5 0.329 0.595 0.794
O6 0.352 0.148 0.754
O7 0.405 0.329 0.206
O8 0.500 0.000 0.202
O9 0.595 0.671 0.206
O10 0.648 0.852 0.754
O11 0.671 0.405 0.794
O12 0.829 0.905 0.206
O13 0.852 0.352 0.246
O14 0.905 0.171 0.794
```



Diffraction record for CoP4O12. The powder XRD pattern is computed, not measured: it uses a crystal structure in the Materials Project, relaxed with GGA+U and a wavelength of 1.5418 Å.

Main lines, by intensity (15° ≤ 2θ ≤ 90°):
2θ = 29.4°, 3.038 Å, I = 100; 2θ = 18.6°, 4.760 Å, I = 67; 2θ = 24.2°, 3.672 Å, I = 49; 2θ = 19.7°, 4.500 Å, I = 33; 2θ = 32.4°, 2.763 Å, I = 26; 2θ = 20.3°, 4.381 Å, I = 24; 2θ = 21.1°, 4.209 Å, I = 23; 2θ = 31.7°, 2.827 Å, I = 23; 2θ = 39.0°, 2.311 Å, I = 23; 2θ = 26.6°, 3.353 Å, I = 21

```
data_CoP4O12
_symmetry_space_group_name_H-M 'P 1'
_symmetry_Int_Tables_number 1
_cell_length_a 7.432
_cell_length_b 7.432
_cell_length_c 9.702
_cell_angle_alpha 110.70
_cell_angle_beta 110.70
_cell_angle_gamma 69.15
loop_
_symmetry_equiv_pos_as_xyz
'x,y,z'
loop_
_atom_site_label
_atom_site_fract_x
_atom_site_fract_y
_atom_site_fract_z
Co1 0.000 0.500 0.000
Co2 0.500 0.000 0.500
P1 0.164 0.199 0.686
P2 0.199 0.164 0.186
P3 0.227 0.769 0.964
P4 0.231 0.773 0.536
P5 0.769 0.227 0.464
P6 0.773 0.231 0.036
P7 0.801 0.836 0.814
P8 0.836 0.801 0.314
O1 0.022 0.854 0.845
O2 0.029 0.707 0.436
O3 0.146 0.978 0.655
O4 0.152 0.312 0.844
O5 0.177 0.686 0.065
O6 0.183 0.350 0.146
O7 0.293 0.971 0.064
O8 0.312 0.152 0.344
O9 0.314 0.823 0.435
O10 0.350 0.183 0.646
O11 0.368 0.622 0.623
O12 0.378 0.632 0.877
O13 0.622 0.368 0.123
O14 0.632 0.378 0.377
O15 0.650 0.817 0.354
O16 0.686 0.177 0.565
O17 0.688 0.848 0.656
O18 0.707 0.029 0.936
O19 0.817 0.650 0.854
O20 0.823 0.314 0.935
O21 0.848 0.688 0.156
O22 0.854 0.022 0.345
O23 0.971 0.293 0.564
O24 0.978 0.146 0.155
```



Diffraction record for Rb2CoO3. The powder XRD pattern is computed, not measured: it uses a crystal structure in the Materials Project, relaxed with GGA+U and a wavelength of 1.5418 Å.

Main lines, by intensity (15° ≤ 2θ ≤ 90°):
2θ = 30.0°, 2.976 Å, I = 100; 2θ = 27.6°, 3.230 Å, I = 21; 2θ = 31.6°, 2.828 Å, I = 20; 2θ = 36.8°, 2.441 Å, I = 17; 2θ = 26.7°, 3.336 Å, I = 16; 2θ = 40.7°, 2.219 Å, I = 15; 2θ = 26.1°, 3.416 Å, I = 14; 2θ = 48.2°, 1.886 Å, I = 13; 2θ = 53.3°, 1.717 Å, I = 11; 2θ = 30.4°, 2.940 Å, I = 11

```
data_Rb2CoO3
_symmetry_space_group_name_H-M 'P 1'
_symmetry_Int_Tables_number 1
_cell_length_a 6.721
_cell_length_b 6.721
_cell_length_c 13.345
_cell_angle_alpha 90.00
_cell_angle_beta 90.00
_cell_angle_gamma 127.50
loop_
_symmetry_equiv_pos_as_xyz
'x,y,z'
loop_
_atom_site_label
_atom_site_fract_x
_atom_site_fract_y
_atom_site_fract_z
Rb1 0.059 0.941 0.860
Rb2 0.137 0.863 0.424
Rb3 0.363 0.637 0.924
Rb4 0.441 0.559 0.360
Rb5 0.559 0.441 0.640
Rb6 0.637 0.363 0.076
Rb7 0.863 0.137 0.576
Rb8 0.941 0.059 0.140
Co1 0.243 0.757 0.671
Co2 0.257 0.743 0.171
Co3 0.743 0.257 0.829
Co4 0.757 0.243 0.329
O1 0.029 0.471 0.750
O2 0.101 0.899 0.640
O3 0.168 0.832 0.064
O4 0.332 0.668 0.564
O5 0.399 0.601 0.140
O6 0.471 0.029 0.250
O7 0.529 0.971 0.750
O8 0.601 0.399 0.860
O9 0.668 0.332 0.436
O10 0.832 0.168 0.936
O11 0.899 0.101 0.360
O12 0.971 0.529 0.250
```



Diffraction record for Y2V2O7. The powder XRD pattern is computed, not measured: it uses a crystal structure in the Materials Project, relaxed with GGA+U and a wavelength of 1.5418 Å.

Main lines, by intensity (15° ≤ 2θ ≤ 90°):
2θ = 30.5°, 2.927 Å, I = 100; 2θ = 51.0°, 1.792 Å, I = 52; 2θ = 60.6°, 1.528 Å, I = 39; 2θ = 35.4°, 2.535 Å, I = 21; 2θ = 83.0°, 1.163 Å, I = 15; 2θ = 38.7°, 2.326 Å, I = 12; 2θ = 85.7°, 1.134 Å, I = 11; 2θ = 63.6°, 1.463 Å, I = 7; 2θ = 74.9°, 1.267 Å, I = 7; 2θ = 15.1°, 5.853 Å, I = 7

```
data_Y2V2O7
_symmetry_space_group_name_H-M 'P 1'
_symmetry_Int_Tables_number 1
_cell_length_a 7.169
_cell_length_b 7.169
_cell_length_c 7.169
_cell_angle_alpha 60.00
_cell_angle_beta 60.00
_cell_angle_gamma 60.00
loop_
_symmetry_equiv_pos_as_xyz
'x,y,z'
loop_
_atom_site_label
_atom_site_fract_x
_atom_site_fract_y
_atom_site_fract_z
Y1 0.000 0.000 0.000
Y2 0.000 0.000 0.500
Y3 0.000 0.500 0.000
Y4 0.500 0.000 0.000
V1 0.000 0.500 0.500
V2 0.500 0.000 0.500
V3 0.500 0.500 0.000
V4 0.500 0.500 0.500
O1 0.125 0.125 0.125
O2 0.169 0.169 0.581
O3 0.169 0.581 0.169
O4 0.169 0.581 0.581
O5 0.419 0.419 0.831
O6 0.419 0.831 0.419
O7 0.419 0.831 0.831
O8 0.581 0.169 0.169
O9 0.581 0.169 0.581
O10 0.581 0.581 0.169
O11 0.831 0.419 0.419
O12 0.831 0.419 0.831
O13 0.831 0.831 0.419
O14 0.875 0.875 0.875
```



Diffraction record for Mg2NiSbO6. The powder XRD pattern is computed, not measured: it uses a crystal structure in the Materials Project, relaxed with GGA+U and a wavelength of 1.5418 Å.

Main lines, by intensity (15° ≤ 2θ ≤ 90°):
2θ = 33.4°, 2.684 Å, I = 100; 2θ = 34.5°, 2.601 Å, I = 85; 2θ = 23.1°, 3.843 Å, I = 60; 2θ = 23.7°, 3.749 Å, I = 58; 2θ = 24.7°, 3.611 Å, I = 57; 2θ = 33.8°, 2.655 Å, I = 43; 2θ = 34.4°, 2.609 Å, I = 42; 2θ = 60.2°, 1.536 Å, I = 28; 2θ = 47.3°, 1.921 Å, I = 27; 2θ = 48.6°, 1.875 Å, I = 26

```
data_Mg2NiSbO6
_symmetry_space_group_name_H-M 'P 1'
_symmetry_Int_Tables_number 1
_cell_length_a 5.228
_cell_length_b 7.499
_cell_length_c 5.321
_cell_angle_alpha 90.00
_cell_angle_beta 93.56
_cell_angle_gamma 90.00
loop_
_symmetry_equiv_pos_as_xyz
'x,y,z'
loop_
_atom_site_label
_atom_site_fract_x
_atom_site_fract_y
_atom_site_fract_z
Mg1 0.016 0.250 0.034
Mg2 0.475 0.750 0.428
Mg3 0.525 0.250 0.572
Mg4 0.984 0.750 0.966
Ni1 0.500 0.000 0.000
Ni2 0.500 0.500 0.000
Sb1 0.000 0.000 0.500
Sb2 0.000 0.500 0.500
O1 0.137 0.250 0.422
O2 0.168 0.571 0.196
O3 0.168 0.929 0.196
O4 0.328 0.566 0.683
O5 0.328 0.934 0.683
O6 0.381 0.250 0.925
O7 0.619 0.750 0.075
O8 0.672 0.066 0.317
O9 0.672 0.434 0.317
O10 0.832 0.071 0.804
O11 0.832 0.429 0.804
O12 0.863 0.750 0.578
```



Diffraction record for Sr2ZnWO6. The powder XRD pattern is computed, not measured: it uses a crystal structure in the Materials Project, relaxed with GGA+U and a wavelength of 1.5418 Å.

Main lines, by intensity (15° ≤ 2θ ≤ 90°):
2θ = 31.4°, 2.848 Å, I = 100; 2θ = 44.9°, 2.017 Å, I = 30; 2θ = 56.1°, 1.640 Å, I = 30; 2θ = 31.5°, 2.838 Å, I = 25; 2θ = 31.2°, 2.868 Å, I = 25; 2θ = 55.6°, 1.652 Å, I = 22; 2θ = 65.5°, 1.424 Å, I = 17; 2θ = 45.1°, 2.011 Å, I = 15; 2θ = 19.0°, 4.671 Å, I = 15; 2θ = 19.1°, 4.637 Å, I = 14

```
data_Sr2ZnWO6
_symmetry_space_group_name_H-M 'P 1'
_symmetry_Int_Tables_number 1
_cell_length_a 5.737
_cell_length_b 5.675
_cell_length_c 9.872
_cell_angle_alpha 90.00
_cell_angle_beta 125.43
_cell_angle_gamma 90.00
loop_
_symmetry_equiv_pos_as_xyz
'x,y,z'
loop_
_atom_site_label
_atom_site_fract_x
_atom_site_fract_y
_atom_site_fract_z
Sr1 0.247 0.013 0.250
Sr2 0.247 0.487 0.750
Sr3 0.753 0.513 0.250
Sr4 0.753 0.987 0.750
Zn1 0.500 0.000 0.000
Zn2 0.500 0.500 0.500
W1 0.000 0.000 0.500
W2 0.000 0.500 0.000
O1 0.190 0.240 0.970
O2 0.190 0.260 0.470
O3 0.228 0.721 0.970
O4 0.228 0.779 0.470
O5 0.296 0.005 0.739
O6 0.296 0.495 0.239
O7 0.704 0.505 0.761
O8 0.704 0.995 0.261
O9 0.772 0.221 0.530
O10 0.772 0.279 0.030
O11 0.810 0.740 0.530
O12 0.810 0.760 0.030
```